1.
Pr2Zn6Ge3: simulated powder diffraction line list (CuKα), based on a crystal structure in the Materials Project, relaxed with PBE.
Lines closer than 0.1° are merged.

The 6 most intense peaks (2θ = 10–90°), in order of rising 2θ:
(hkl), two_theta, intensity
1 1 1, 31.77, 1000
2 1 0, 35.61, 219
3 0 0, 40.57, 327
2 1 1, 41.98, 531
0 0 2, 43.83, 246
4 1 1, 68.33, 210

Crystal structure
Cell: 7.7022 7.7022 4.1311 Å, 90.00 90.00 120.00°
Space group P-62m (No. 189)
One atom of each set of equivalent atoms:
Pr1 0.3333 0.6667 0.0000
Zn1 0.0000 0.1892 0.0000
Zn2 0.0000 0.7118 0.5000
Ge1 0.0000 0.3815 0.5000

=====

2.
UGaAu: simulated powder diffraction line list (CuKα), based on a crystal structure in the Materials Project, relaxed with PBE.
Lines closer than 0.1° are merged.

The 6 most intense peaks (2θ = 10–90°), in order of rising 2θ:
(hkl), two_theta, intensity
1 0 1, 26.16, 219
1 1 0, 36.71, 1000
1 0 2, 37.94, 969
2 0 2, 53.82, 359
2 1 2, 66.92, 381
1 1 4, 77.25, 242

Crystal structure
Cell: 4.8965 4.8965 5.7215 Å, 90.00 90.00 120.00°
Space group P6_3/mmc (No. 194)
One atom of each set of equivalent atoms:
U1 0.0000 0.0000 0.0000
Ga1 0.3333 0.6667 0.2500
Au1 0.3333 0.6667 0.7500

=====

3.
MgBi2O4: simulated powder diffraction line list (CuKα), based on a crystal structure in the Materials Project, relaxed with PBE.
Lines closer than 0.1° are merged.

The 6 most intense peaks (2θ = 10–90°), in order of rising 2θ:
(hkl), two_theta, intensity
0 1 1, 15.85, 1000
0 0 3, 16.06, 600
2 0 1, 30.57, 809
1 1 3, 30.69, 923
0 2 2, 32.00, 949
2 0 4, 37.26, 932

Crystal structure
Cell: 6.8618 6.8618 16.5520 Å, 90.00 90.00 120.00°
Space group P3m1 (No. 156)
One atom of each set of equivalent atoms:
Mg1 0.0000 0.0000 0.0000
Mg2 0.0000 0.0000 0.2477
Mg3 0.3333 0.6667 0.5853
Mg4 0.6667 0.3333 0.2896
Mg5 0.6667 0.3333 0.6661
Mg6 0.6667 0.3333 0.9150
Bi1 0.0000 0.0000 0.6240
Bi2 0.1666 0.3333 0.7926
Bi3 0.3333 0.6667 0.3387
Bi4 0.3333 0.6667 0.9617
Bi5 0.3361 0.1680 0.4571
Bi6 0.5046 0.0093 0.1270
O1 0.0000 0.0000 0.3714
O2 0.0000 0.0000 0.8755
O3 0.1647 0.3294 0.0415
O4 0.1719 0.3439 0.5397
O5 0.3321 0.1661 0.7061
O6 0.3333 0.6667 0.2077
O7 0.3333 0.6667 0.7097
O8 0.3537 0.1769 0.2129
O9 0.5011 0.0021 0.8745
O10 0.5224 0.0448 0.3693
O11 0.6667 0.3333 0.0418
O12 0.6667 0.3333 0.5404

=====

4.
Rb2TlGaF6: simulated powder diffraction line list (CuKα), based on a crystal structure in the Materials Project, relaxed with PBE.
Lines closer than 0.1° are merged.

The 6 most intense peaks (2θ = 10–90°), in order of rising 2θ:
(hkl), two_theta, intensity
2 2 0, 27.45, 1000
4 0 0, 39.21, 332
4 2 2, 48.53, 392
4 4 0, 56.65, 203
6 2 0, 64.08, 211
6 4 2, 77.76, 228

Crystal structure
Cell: 9.1906 9.1906 9.1906 Å, 90.00 90.00 90.00°
Space group Fm-3m (No. 225)
One atom of each set of equivalent atoms:
Rb1 0.2500 0.2500 0.2500
Tl1 0.0000 0.0000 0.0000
Ga1 0.0000 0.0000 0.5000
F1 0.0000 0.0000 0.2897

=====

5.
Ba4UCr2S9: simulated powder diffraction line list (CuKα), based on a crystal structure in the Materials Project, relaxed with PBE.
Lines closer than 0.1° are merged.

The 6 most intense peaks (2θ = 10–90°), in order of rising 2θ:
(hkl), two_theta, intensity
1 1 2, 23.58, 724
3 0 0, 25.55, 1000
2 2 2, 35.04, 649
2 1 3, 35.96, 365
3 0 4, 45.69, 294
3 2 3, 47.23, 296

Crystal structure
Cell: 12.0791 12.0791 9.6631 Å, 90.00 90.00 120.00°
Space group P321 (No. 150)
One atom of each set of equivalent atoms:
Ba1 0.0000 0.6254 0.0000
Ba2 0.0000 0.6812 0.5000
Ba3 0.0428 0.3398 0.7496
U1 0.0000 0.0000 0.0000
U2 0.3333 0.6667 0.2439
Cr1 0.0000 0.0000 0.3406
Cr2 0.3333 0.6667 0.5820
Cr3 0.3333 0.6667 0.8985
S1 0.0000 0.1531 0.5000
S2 0.0141 0.8444 0.1899
S3 0.1649 0.6470 0.7394
S4 0.1794 0.4993 0.4327
S5 0.1809 0.4936 0.0501

=====

Copy entry 5 word for word.
Ba4UCr2S9: simulated powder diffraction line list (CuKα), based on a crystal structure in the Materials Project, relaxed with PBE.
Lines closer than 0.1° are merged.

The 6 most intense peaks (2θ = 10–90°), in order of rising 2θ:
(hkl), two_theta, intensity
1 1 2, 23.58, 724
3 0 0, 25.55, 1000
2 2 2, 35.04, 649
2 1 3, 35.96, 365
3 0 4, 45.69, 294
3 2 3, 47.23, 296

Crystal structure
Cell: 12.0791 12.0791 9.6631 Å, 90.00 90.00 120.00°
Space group P321 (No. 150)
One atom of each set of equivalent atoms:
Ba1 0.0000 0.6254 0.0000
Ba2 0.0000 0.6812 0.5000
Ba3 0.0428 0.3398 0.7496
U1 0.0000 0.0000 0.0000
U2 0.3333 0.6667 0.2439
Cr1 0.0000 0.0000 0.3406
Cr2 0.3333 0.6667 0.5820
Cr3 0.3333 0.6667 0.8985
S1 0.0000 0.1531 0.5000
S2 0.0141 0.8444 0.1899
S3 0.1649 0.6470 0.7394
S4 0.1794 0.4993 0.4327
S5 0.1809 0.4936 0.0501